(1)
The following is a computed X-ray diffraction stick pattern of Zr2TiPb3O9. It was derived from DFT lattice parameters and positions (PBE), using λ = 1.5418 Å (Cu Kα).
Kinematic intensities with the Lorentz-polarization factor, no thermal factor.

Atomic structure:
```
data_Zr2TiPb3O9
_chemical_formula_sum 'Zr4 Ti2 Pb6 O18'
_symmetry_space_group_name_H-M 'C 1 m 1'
_symmetry_Int_Tables_number 8
_cell_length_a 6.0150
_cell_length_b 5.9054
_cell_length_c 12.3882
_cell_angle_alpha 90.00
_cell_angle_beta 91.00
_cell_angle_gamma 90.00
loop_
_symmetry_equiv_pos_as_xyz
'x,y,z'
'x,-y,z'
'x+1/2,y+1/2,z'
'x+1/2,-y+1/2,z'
loop_
_atom_site_label
_atom_site_type_symbol
_atom_site_fract_x
_atom_site_fract_y
_atom_site_fract_z
Zr1 Zr 0.0000 0.0000 0.0000
Zr2 Zr 0.0011 0.0000 0.3421
Ti1 Ti 0.4768 0.5000 0.6700
Pb1 Pb 0.4462 0.0000 0.8426
Pb2 Pb 0.4493 0.0000 0.1864
Pb3 Pb 0.4505 0.0000 0.5289
O1 O 0.0388 0.0000 0.1650
O2 O 0.0420 0.0000 0.8194
O3 O 0.0458 0.0000 0.5089
O4 O 0.2780 0.2375 0.9854
O5 O 0.2786 0.2382 0.3261
O6 O 0.2888 0.2526 0.6612
```

Principal peaks in the range 15° ≤ 2θ ≤ 90°, low angle first:
| (hkl) | Position (°2θ) | I/Imax |
| --- | --- | --- |
| 1 1 0 | 21.08 | 49 |
| 0 0 3 | 21.52 | 22 |
| 2 0 0 | 29.71 | 52 |
| 1 1 -3 | 30.12 | 100 |
| 0 2 0 | 30.27 | 52 |
| 1 1 3 | 30.50 | 100 |
| 0 2 3 | 37.44 | 25 |
| 2 2 0 | 42.93 | 52 |
| 0 0 6 | 43.86 | 24 |
| 3 1 3 | 53.44 | 30 |
| 1 3 -3 | 53.68 | 21 |
| 1 3 3 | 53.91 | 21 |

---

(2)
The following is a computed X-ray diffraction stick pattern of Rb2MgTi2Zn2O2F10. It was derived from DFT lattice parameters and positions (PBE), using λ = 1.5418 Å (Cu Kα).
Kinematic intensities with the Lorentz-polarization factor, no thermal factor.

Atomic structure:
```
data_Rb2MgTi2Zn2O2F10
_chemical_formula_sum 'Rb2 Mg1 Ti2 Zn2 O2 F10'
_symmetry_space_group_name_H-M 'P 1'
_symmetry_Int_Tables_number 1
_cell_length_a 7.3911
_cell_length_b 7.6143
_cell_length_c 7.6525
_cell_angle_alpha 60.45
_cell_angle_beta 61.13
_cell_angle_gamma 89.99
loop_
_symmetry_equiv_pos_as_xyz
'x,y,z'
loop_
_atom_site_label
_atom_site_type_symbol
_atom_site_fract_x
_atom_site_fract_y
_atom_site_fract_z
Rb1 Rb 0.0000 0.0000 0.0000
Rb2 Rb 0.1594 0.7795 0.4530
Mg1 Mg 0.8159 0.2104 0.6026
Ti1 Ti 0.0404 0.4739 0.0533
Ti2 Ti 0.5264 0.4623 0.0726
Zn1 Zn 0.5302 0.4798 0.5637
Zn2 Zn 0.5342 0.9583 0.5661
O1 O 0.2489 0.4210 0.1528
O2 O 0.8281 0.5006 0.9966
F1 F 0.2123 0.4087 0.8033
F2 F 0.2147 0.7865 0.8046
F3 F 0.4604 0.5309 0.3166
F4 F 0.4618 0.1524 0.3192
F5 F 0.5062 0.1543 0.6953
F6 F 0.6020 0.7908 0.4201
F7 F 0.6224 0.7768 0.8086
F8 F 0.6261 0.4067 0.8058
F9 F 0.8668 0.1474 0.3525
F10 F 0.8695 0.5128 0.3447
```

Principal peaks in the range 15° ≤ 2θ ≤ 90°, low angle first:
| (hkl) | Position (°2θ) | I/Imax |
| --- | --- | --- |
| 1 1 0 | 23.17 | 36 |
| -1 1 1 | 23.29 | 47 |
| 1 0 -1 | 26.97 | 48 |
| -1 2 1 | 27.56 | 100 |
| 2 -1 1 | 28.02 | 45 |
| 0 2 0 | 28.37 | 25 |
| 0 2 2 | 28.53 | 24 |
| 2 0 2 | 29.05 | 74 |
| 2 2 0 | 47.36 | 29 |
| -2 2 2 | 47.58 | 27 |
| 0 4 2 | 47.78 | 23 |
| 4 0 2 | 49.32 | 24 |

---

(3)
The following is a computed X-ray diffraction stick pattern of Rb2YHgI6. It was derived from DFT lattice parameters and positions (PBE), using λ = 1.5418 Å (Cu Kα).
Kinematic intensities with the Lorentz-polarization factor, no thermal factor.

Atomic structure:
```
data_Rb2YHgI6
_chemical_formula_sum 'Rb8 Y4 Hg4 I24'
_symmetry_space_group_name_H-M 'F m -3 m'
_symmetry_Int_Tables_number 225
_symmetry_space_group_name_Hall '-F 4 2 3'
_cell_length_a 12.4801
_cell_length_b 12.4801
_cell_length_c 12.4801
_cell_angle_alpha 90.00
_cell_angle_beta 90.00
_cell_angle_gamma 90.00
loop_
_atom_site_label
_atom_site_type_symbol
_atom_site_fract_x
_atom_site_fract_y
_atom_site_fract_z
Rb1 Rb 0.2500 0.2500 0.2500
Y1 Y 0.0000 0.0000 0.0000
Hg1 Hg 0.0000 0.0000 0.5000
I1 I 0.0000 0.0000 0.2425
```

Principal peaks in the range 15° ≤ 2θ ≤ 90°, low angle first:
| (hkl) | Position (°2θ) | I/Imax |
| --- | --- | --- |
| 2 2 0 | 20.12 | 15 |
| 2 2 2 | 24.71 | 53 |
| 4 0 0 | 28.61 | 100 |
| 4 2 0 | 32.07 | 27 |
| 4 4 0 | 40.91 | 75 |
| 6 0 0 | 43.51 | 14 |
| 6 2 2 | 48.38 | 24 |
| 4 4 4 | 50.68 | 26 |
| 8 0 0 | 59.23 | 12 |
| 6 6 2 | 65.17 | 9 |
| 8 4 0 | 67.08 | 34 |
| 8 4 4 | 74.49 | 25 |

---

(4)
The following is a computed X-ray diffraction stick pattern of Zr8Ni21. It was derived from DFT lattice parameters and positions (PBE), using λ = 1.5418 Å (Cu Kα).
Kinematic intensities with the Lorentz-polarization factor, no thermal factor.

Atomic structure:
```
data_Zr8Ni21
_chemical_formula_sum 'Zr8 Ni21'
_symmetry_space_group_name_H-M 'P -1'
_symmetry_Int_Tables_number 2
_cell_length_a 6.4512
_cell_length_b 8.0820
_cell_length_c 8.5668
_cell_angle_alpha 75.35
_cell_angle_beta 68.03
_cell_angle_gamma 75.33
loop_
_symmetry_equiv_pos_as_xyz
'x,y,z'
'-x,-y,-z'
loop_
_atom_site_label
_atom_site_type_symbol
_atom_site_fract_x
_atom_site_fract_y
_atom_site_fract_z
Zr1 Zr 0.0670 0.0377 0.2475
Zr2 Zr 0.2517 0.5635 0.9662
Zr3 Zr 0.2526 0.4403 0.3927
Zr4 Zr 0.4306 0.0956 0.6855
Ni1 Ni 0.0153 0.2922 0.7257
Ni2 Ni 0.0153 0.6173 0.7557
Ni3 Ni 0.1824 0.2562 0.9520
Ni4 Ni 0.1836 0.9011 0.9642
Ni5 Ni 0.1966 0.7547 0.4586
Ni6 Ni 0.2133 0.1146 0.4702
Ni7 Ni 0.3638 0.7873 0.6576
Ni8 Ni 0.3809 0.4448 0.6515
Ni9 Ni 0.4008 0.7202 0.1542
Ni10 Ni 0.4020 0.2406 0.1525
Ni11 Ni 0.5000 0.0000 0.0000
```

Principal peaks in the range 15° ≤ 2θ ≤ 90°, low angle first:
| (hkl) | Position (°2θ) | I/Imax |
| --- | --- | --- |
| 2 1 3 | 35.92 | 12 |
| 1 3 -1 | 40.93 | 42 |
| 1 3 3 | 41.23 | 12 |
| -1 3 1 | 42.13 | 42 |
| 2 3 0 | 42.44 | 18 |
| 2 3 3 | 43.26 | 39 |
| 1 0 4 | 43.68 | 45 |
| 3 0 2 | 44.23 | 100 |
| 1 4 1 | 44.98 | 14 |
| 1 -3 2 | 47.78 | 12 |
| -4 2 1 | 77.10 | 8 |
| 1 0 -6 | 80.62 | 8 |

---

(5)
The following is a computed X-ray diffraction stick pattern of YTa3O9. It was derived from DFT lattice parameters and positions (PBE), using λ = 1.5418 Å (Cu Kα).
Kinematic intensities with the Lorentz-polarization factor, no thermal factor.

Atomic structure:
```
data_YTa3O9
_chemical_formula_sum 'Y4 Ta12 O36'
_symmetry_space_group_name_H-M 'P n m a'
_symmetry_Int_Tables_number 62
_cell_length_a 6.4798
_cell_length_b 7.6562
_cell_length_c 12.6162
_cell_angle_alpha 90.00
_cell_angle_beta 90.00
_cell_angle_gamma 90.00
loop_
_symmetry_equiv_pos_as_xyz
'x,y,z'
'-x,-y,-z'
'-x+1/2,-y,z+1/2'
'x+1/2,y,-z+1/2'
'x+1/2,-y+1/2,-z+1/2'
'-x+1/2,y+1/2,z+1/2'
'-x,y+1/2,-z'
'x,-y+1/2,z'
loop_
_atom_site_label
_atom_site_type_symbol
_atom_site_fract_x
_atom_site_fract_y
_atom_site_fract_z
Y1 Y 0.0577 0.2500 0.0356
Ta1 Ta 0.0000 0.0000 0.5000
Ta2 Ta 0.2026 0.0028 0.7874
O1 O 0.0141 0.0432 0.6570
O2 O 0.0740 0.7500 0.5266
O3 O 0.1060 0.0356 0.1684
O4 O 0.1621 0.2500 0.8290
O5 O 0.1996 0.7500 0.8062
O6 O 0.2045 0.5312 0.9636
```

Principal peaks in the range 15° ≤ 2θ ≤ 90°, low angle first:
| (hkl) | Position (°2θ) | I/Imax |
| --- | --- | --- |
| 1 0 2 | 19.64 | 30 |
| 0 2 0 | 23.24 | 100 |
| 1 2 1 | 27.98 | 54 |
| 0 0 4 | 28.30 | 50 |
| 2 0 2 | 31.03 | 97 |
| 1 0 4 | 31.55 | 33 |
| 1 2 3 | 34.58 | 47 |
| 2 2 2 | 39.12 | 46 |
| 0 4 0 | 47.51 | 35 |
| 1 2 6 | 51.56 | 30 |
| 2 4 2 | 57.83 | 36 |
| 3 2 5 | 61.50 | 31 |

---

(6)
The following is a computed X-ray diffraction stick pattern of Cs2ThP3S9. It was derived from DFT lattice parameters and positions (PBE), using λ = 1.5418 Å (Cu Kα).
Kinematic intensities with the Lorentz-polarization factor, no thermal factor.

Atomic structure:
```
data_Cs2ThP3S9
_chemical_formula_sum 'Cs8 Th4 P12 S36'
_symmetry_space_group_name_H-M 'P -1'
_symmetry_Int_Tables_number 2
_cell_length_a 12.5555
_cell_length_b 12.6176
_cell_length_c 12.7759
_cell_angle_alpha 114.29
_cell_angle_beta 102.55
_cell_angle_gamma 99.33
loop_
_symmetry_equiv_pos_as_xyz
'x,y,z'
'-x,-y,-z'
loop_
_atom_site_label
_atom_site_type_symbol
_atom_site_fract_x
_atom_site_fract_y
_atom_site_fract_z
Cs1 Cs 0.1005 0.0682 0.2606
Cs2 Cs 0.1241 0.3544 0.8971
Cs3 Cs 0.1696 0.7281 0.5540
Cs4 Cs 0.3513 0.4259 0.2728
Th1 Th 0.3536 0.8210 0.0050
Th2 Th 0.3904 0.2146 0.6800
P1 P 0.2179 0.0463 0.9871
P2 P 0.2265 0.3700 0.5574
P3 P 0.2371 0.7021 0.1880
P4 P 0.3013 0.5311 0.7474
P5 P 0.3195 0.0833 0.8730
P6 P 0.3563 0.8646 0.3574
S1 S 0.1139 0.1498 0.0201
S2 S 0.1242 0.4005 0.4383
S3 S 0.1373 0.5884 0.2211
S4 S 0.1507 0.8632 0.8788
S5 S 0.1570 0.2334 0.5920
S6 S 0.1595 0.7742 0.0869
S7 S 0.1785 0.5849 0.8180
S8 S 0.2102 0.0561 0.7152
S9 S 0.2684 0.9699 0.4476
S10 S 0.3361 0.0673 0.1357
S11 S 0.3573 0.6376 0.1123
S12 S 0.3705 0.3300 0.5206
S13 S 0.3968 0.4556 0.8355
S14 S 0.3988 0.6819 0.7580
S15 S 0.4212 0.9715 0.8662
S16 S 0.4280 0.2537 0.9445
S17 S 0.4469 0.7896 0.4457
S18 S 0.4629 0.9384 0.2866
```

Principal peaks in the range 15° ≤ 2θ ≤ 90°, low angle first:
| (hkl) | Position (°2θ) | I/Imax |
| --- | --- | --- |
| -2 1 1 | 16.47 | 47 |
| 1 2 -1 | 17.03 | 68 |
| 1 -1 2 | 17.37 | 80 |
| 1 -3 0 | 23.20 | 35 |
| 3 1 -2 | 24.34 | 35 |
| 3 -2 1 | 25.08 | 100 |
| 0 2 2 | 27.65 | 34 |
| 2 2 -4 | 29.72 | 56 |
| 4 0 0 | 30.42 | 47 |
| 2 -4 2 | 30.56 | 39 |
| 2 4 -2 | 34.46 | 35 |
| 2 -2 4 | 35.15 | 35 |